Entry 1:
Diffraction record for Pm7ZnS5. The powder diffractogram is calculated, not measured: it uses a crystal structure in Alexandria, relaxed with PBE and λ = 1.5418 Å (Cu Kα).
No peak broadening, texture or thermal motion is included.

Top 10 peaks for 2θ = 10–80°, by intensity:
Position (°2θ)  I_rel
29.0  100
30.9  87
32.0  64
27.4  51
44.9  47
54.5  34
45.1  31
29.6  27
44.1  26
46.6  25

```
Pm7ZnS5
1.0
4.0237 0.0000 0.0000
2.0032 6.6635 0.0000
0.0001 0.0068 24.2556
Pm Zn S
14 2 10
direct
0.0303 0.4394 0.2500 Pm
0.1363 0.2266 0.5364 Pm
0.1357 0.2279 0.9636 Pm
0.3175 0.8650 0.3254 Pm
0.3183 0.8634 0.1746 Pm
0.4119 0.6764 0.8929 Pm
0.4127 0.6749 0.6071 Pm
0.5873 0.3251 0.3929 Pm
0.5881 0.3236 0.1071 Pm
0.6817 0.1366 0.8254 Pm
0.6825 0.1350 0.6746 Pm
0.8643 0.7721 0.0364 Pm
0.8637 0.7734 0.4636 Pm
0.9697 0.5606 0.7500 Pm
0.2967 0.9051 0.7501 Zn
0.7033 0.0949 0.2499 Zn
0.0464 0.4073 0.6417 S
0.0468 0.4066 0.8583 S
0.2261 0.0481 0.4295 S
0.2256 0.0491 0.0705 S
0.5000 0.5000 0.0000 S
0.5000 0.5000 0.5000 S
0.7744 0.9509 0.9295 S
0.7739 0.9519 0.5705 S
0.9532 0.5934 0.1417 S
0.9536 0.5927 0.3583 S
```

Entry 2:
Diffraction record for Pm3ZrS6. The powder diffractogram is calculated, not measured: it uses a crystal structure in Alexandria, relaxed with PBE and λ = 1.5418 Å (Cu Kα).
No peak broadening, texture or thermal motion is included.

Top 10 peaks for 2θ = 10–80°, by intensity:
Position (°2θ)  I_rel
26.0  100
25.1  99
36.5  61
26.9  37
39.2  31
30.6  28
45.9  28
47.5  27
24.2  26
40.4  25

```
Pm3ZrS6
1.0
6.6420 0.0000 0.0000
0.0000 7.3566 0.0000
-6.1959 0.0000 9.8372
Pm Zr S
6 2 12
direct
0.0000 0.0000 0.0000 Pm
0.0000 0.5000 0.5000 Pm
0.3029 0.1020 0.7565 Pm
0.3029 0.3980 0.2565 Pm
0.6971 0.6020 0.7435 Pm
0.6971 0.8980 0.2435 Pm
0.5000 0.0000 0.5000 Zr
0.5000 0.5000 0.0000 Zr
0.1078 0.0577 0.2644 S
0.1078 0.4423 0.7644 S
0.2611 0.6797 0.0770 S
0.2611 0.8203 0.5770 S
0.4077 0.1917 0.0728 S
0.4077 0.3083 0.5728 S
0.5923 0.6917 0.4272 S
0.5923 0.8083 0.9272 S
0.7389 0.1797 0.4230 S
0.7389 0.3203 0.9230 S
0.8922 0.5577 0.2356 S
0.8922 0.9423 0.7356 S
```

Entry 3:
Diffraction record for Pm3Sb4. The powder diffractogram is calculated, not measured: it uses a crystal structure in Alexandria, relaxed with PBE and λ = 1.5418 Å (Cu Kα).
No peak broadening, texture or thermal motion is included.

Top 10 peaks for 2θ = 10–80°, by intensity:
Position (°2θ)  I_rel
29.3  100
38.8  51
39.9  49
25.9  38
39.5  29
25.1  23
30.5  23
37.7  17
48.1  16
47.8  15

```
Pm3Sb4
1.0
4.5672 0.0000 0.0000
2.2798 4.0449 0.0000
2.2535 -0.5332 12.1871
Pm Sb
3 4
direct
0.0000 0.0000 0.0000 Pm
0.4972 0.2880 0.7148 Pm
0.5028 0.7120 0.2852 Pm
0.2503 0.3563 0.1457 Sb
0.2591 0.9140 0.5636 Sb
0.7409 0.0860 0.4364 Sb
0.7497 0.6437 0.8543 Sb
```

Entry 4:
Diffraction record for Pm4Sb3. The powder diffractogram is calculated, not measured: it uses a crystal structure in Alexandria, relaxed with PBE and λ = 1.5418 Å (Cu Kα).
No peak broadening, texture or thermal motion is included.

Top 10 peaks for 2θ = 10–80°, by intensity:
Position (°2θ)  I_rel
31.5  100
33.1  69
44.7  20
30.8  18
41.1  16
61.8  15
39.2  13
51.2  13
28.3  13
57.2  12

```
Pm4Sb3
1.0
7.5033 4.3320 2.1633
-7.5033 4.3320 2.1633
0.0000 -8.6640 2.1633
Pm Sb
8 6
direct
0.0000 0.0000 0.0000 Pm
0.0284 0.2500 0.4716 Pm
0.2500 0.4716 0.0284 Pm
0.4716 0.0284 0.2500 Pm
0.5000 0.5000 0.5000 Pm
0.5284 0.9716 0.7500 Pm
0.7500 0.5284 0.9716 Pm
0.9716 0.7500 0.5284 Pm
0.0512 0.4488 0.2500 Sb
0.2500 0.0512 0.4488 Sb
0.4488 0.2500 0.0512 Sb
0.5512 0.7500 0.9488 Sb
0.7500 0.9488 0.5512 Sb
0.9488 0.5512 0.7500 Sb
```

Entry 5:
Diffraction record for Pm3Sb. The powder diffractogram is calculated, not measured: it uses a crystal structure in Alexandria, relaxed with PBE and λ = 1.5418 Å (Cu Kα).
No peak broadening, texture or thermal motion is included.

Top 10 peaks for 2θ = 10–80°, by intensity:
Position (°2θ)  I_rel
29.0  100
32.3  89
30.3  74
31.3  62
29.7  53
36.3  51
35.9  42
34.9  40
59.1  39
50.9  39

```
Pm3Sb
1.0
12.7678 0.0000 0.0000
0.0000 12.7678 0.0000
0.0000 0.0000 6.2534
Pm Sb
24 8
direct
0.0331 0.5733 0.2459 Pm
0.0733 0.9669 0.7459 Pm
0.1087 0.2216 0.0246 Pm
0.1401 0.6672 0.7246 Pm
0.1672 0.8599 0.2246 Pm
0.2216 0.3913 0.4754 Pm
0.2784 0.1087 0.4754 Pm
0.3328 0.6401 0.2246 Pm
0.3599 0.8328 0.7246 Pm
0.3913 0.2784 0.0246 Pm
0.4267 0.5331 0.7459 Pm
0.4669 0.9267 0.2459 Pm
0.5331 0.0733 0.7541 Pm
0.5733 0.4669 0.2541 Pm
0.6087 0.7216 0.9754 Pm
0.6401 0.1672 0.2754 Pm
0.6672 0.3599 0.7754 Pm
0.7216 0.8913 0.5246 Pm
0.7784 0.6087 0.5246 Pm
0.8328 0.1401 0.7754 Pm
0.8599 0.3328 0.2754 Pm
0.8913 0.7784 0.9754 Pm
0.9267 0.0331 0.2541 Pm
0.9669 0.4267 0.7541 Pm
0.0487 0.2077 0.5312 Sb
0.2077 0.4513 0.9688 Sb
0.2923 0.0487 0.9688 Sb
0.4513 0.2923 0.5312 Sb
0.5487 0.7077 0.4688 Sb
0.7077 0.9513 0.0312 Sb
0.7923 0.5487 0.0312 Sb
0.9513 0.7923 0.4688 Sb
```

Entry 6:
Diffraction record for PmScSb3. The powder diffractogram is calculated, not measured: it uses a crystal structure in Alexandria, relaxed with PBE and λ = 1.5418 Å (Cu Kα).
No peak broadening, texture or thermal motion is included.

Top 10 peaks for 2θ = 10–80°, by intensity:
Position (°2θ)  I_rel
33.1  100
31.8  92
30.5  56
40.2  55
28.1  46
34.0  37
35.2  30
68.6  23
58.0  23
27.4  23

```
PmScSb3
1.0
13.5403 0.0000 0.0000
0.0000 6.1830 0.0000
0.0000 0.0000 6.5054
Pm Sc Sb
4 4 12
direct
0.1792 0.0084 0.2500 Pm
0.1792 0.4916 0.7500 Pm
0.8208 0.5084 0.2500 Pm
0.8208 0.9916 0.7500 Pm
0.4047 0.7500 0.0000 Sc
0.4047 0.7500 0.5000 Sc
0.5953 0.2500 0.0000 Sc
0.5953 0.2500 0.5000 Sc
0.0021 0.7500 0.0000 Sb
0.0021 0.7500 0.5000 Sb
0.2597 0.0019 0.7500 Sb
0.2597 0.4981 0.2500 Sb
0.4227 0.1411 0.2500 Sb
0.4227 0.3589 0.7500 Sb
0.5773 0.6411 0.2500 Sb
0.5773 0.8589 0.7500 Sb
0.7403 0.5019 0.7500 Sb
0.7403 0.9981 0.2500 Sb
0.9979 0.2500 0.0000 Sb
0.9979 0.2500 0.5000 Sb
```